[1]
Rb2Cd2IrO6: theoretical powder diffractogram (CuKα), based on the PBE geometry in Alexandria.

Structure:
```
data_Rb2Cd2IrO6
_cell_length_a 5.935
_cell_length_b 9.928
_cell_length_c 6.756
_cell_angle_alpha 90.00
_cell_angle_beta 108.06
_cell_angle_gamma 90.00
_space_group_name_H-M_alt 'C 1 2/m 1'
_space_group_IT_number 12
_space_group_name_Hall '-C 2y'
loop_
_atom_site_label
_atom_site_type_symbol
_atom_site_fract_x
_atom_site_fract_y
_atom_site_fract_z
Rb1 Rb 0.000 0.175 0.000
Cd1 Cd 0.000 0.337 0.500
Ir1 Ir 0.000 0.000 0.500
O1 O 0.198 0.143 0.669
O2 O 0.218 0.000 0.331
```

Peak list (12 most intense, 2θ from 5° to 70°, by intensity)
- 6.424 Å, 13.79°, intensity 100.0, hkl 0 0 1
- 2.469 Å, 36.39°, intensity 93.1, hkl 1 3 1
- 2.775 Å, 32.26°, intensity 74.8, hkl 1 3 -1
- 3.212 Å, 27.78°, intensity 62.9, hkl 0 0 2
- 2.547 Å, 35.24°, intensity 50.7, hkl 2 0 -2
- 2.822 Å, 31.71°, intensity 39.6, hkl 2 0 0
- 4.906 Å, 18.08°, intensity 34.6, hkl 1 1 0
- 1.859 Å, 49.01°, intensity 32.8, hkl 1 3 -3
- 1.698 Å, 54.00°, intensity 29.7, hkl 3 3 -1
- 3.928 Å, 22.64°, intensity 27.6, hkl 0 2 1
- 1.597 Å, 57.73°, intensity 19.4, hkl 1 3 3
- 1.471 Å, 63.22°, intensity 18.7, hkl 0 6 2

=====

[2]
La4Sm5Ho: theoretical powder diffractogram (CuKα), based on the PBE geometry in Alexandria.

Structure:
```
data_La4Sm5Ho
_cell_length_a 10.787
_cell_length_b 10.787
_cell_length_c 5.941
_cell_angle_alpha 90.00
_cell_angle_beta 90.00
_cell_angle_gamma 90.00
_space_group_name_H-M_alt 'P 4/n m m'
_space_group_IT_number 129
loop_
_space_group_symop_operation_xyz
'x,y,z'
'-x,-y,-z'
'-y+1/2,x,z'
'y+1/2,-x,-z'
'-x+1/2,-y+1/2,z'
'x+1/2,y+1/2,-z'
'y,-x+1/2,z'
'-y,x+1/2,-z'
'x+1/2,-y,-z'
'-x+1/2,y,z'
'-y,-x,-z'
'y,x,z'
'-x,y+1/2,-z'
'x,-y+1/2,z'
'y+1/2,x+1/2,-z'
'-y+1/2,-x+1/2,z'
loop_
_atom_site_label
_atom_site_type_symbol
_atom_site_fract_x
_atom_site_fract_y
_atom_site_fract_z
La1 La 0.048 0.750 0.128
Sm1 Sm 0.091 0.091 0.347
Sm2 Sm 0.250 0.750 0.500
Ho1 Ho 0.250 0.250 0.855
```

Peak list (12 most intense, 2θ from 5° to 70°, by intensity)
- 3.076 Å, 29.03°, intensity 100.0, hkl 3 0 1
- 2.958 Å, 30.21°, intensity 53.2, hkl 3 1 1
- 2.864 Å, 31.23°, intensity 37.9, hkl 1 0 2
- 2.543 Å, 35.30°, intensity 33.7, hkl 3 3 0
- 1.746 Å, 52.41°, intensity 30.9, hkl 4 3 2
- 3.210 Å, 27.80°, intensity 21.6, hkl 2 2 1
- 1.552 Å, 59.56°, intensity 17.7, hkl 6 3 1
- 1.798 Å, 50.78°, intensity 17.0, hkl 6 0 0
- 1.596 Å, 57.76°, intensity 14.1, hkl 4 0 3
- 1.378 Å, 68.04°, intensity 12.6, hkl 7 3 1
- 1.368 Å, 68.60°, intensity 10.9, hkl 7 0 2
- 2.456 Å, 36.59°, intensity 10.8, hkl 4 0 1

=====

What is the formula in the first record? Rb2Cd2IrO6

=====

Repeat the first record exactly.
Rb2Cd2IrO6: theoretical powder diffractogram (CuKα), based on the PBE geometry in Alexandria.

Structure:
```
data_Rb2Cd2IrO6
_cell_length_a 5.935
_cell_length_b 9.928
_cell_length_c 6.756
_cell_angle_alpha 90.00
_cell_angle_beta 108.06
_cell_angle_gamma 90.00
_space_group_name_H-M_alt 'C 1 2/m 1'
_space_group_IT_number 12
_space_group_name_Hall '-C 2y'
loop_
_atom_site_label
_atom_site_type_symbol
_atom_site_fract_x
_atom_site_fract_y
_atom_site_fract_z
Rb1 Rb 0.000 0.175 0.000
Cd1 Cd 0.000 0.337 0.500
Ir1 Ir 0.000 0.000 0.500
O1 O 0.198 0.143 0.669
O2 O 0.218 0.000 0.331
```

Peak list (12 most intense, 2θ from 5° to 70°, by intensity)
- 6.424 Å, 13.79°, intensity 100.0, hkl 0 0 1
- 2.469 Å, 36.39°, intensity 93.1, hkl 1 3 1
- 2.775 Å, 32.26°, intensity 74.8, hkl 1 3 -1
- 3.212 Å, 27.78°, intensity 62.9, hkl 0 0 2
- 2.547 Å, 35.24°, intensity 50.7, hkl 2 0 -2
- 2.822 Å, 31.71°, intensity 39.6, hkl 2 0 0
- 4.906 Å, 18.08°, intensity 34.6, hkl 1 1 0
- 1.859 Å, 49.01°, intensity 32.8, hkl 1 3 -3
- 1.698 Å, 54.00°, intensity 29.7, hkl 3 3 -1
- 3.928 Å, 22.64°, intensity 27.6, hkl 0 2 1
- 1.597 Å, 57.73°, intensity 19.4, hkl 1 3 3
- 1.471 Å, 63.22°, intensity 18.7, hkl 0 6 2